No. 1
For CdS2O6F2, a crystal structure in Alexandria, relaxed with PBE gives the simulated X-ray diffraction stick pattern in this record (Cu Kα (λ = 1.5418 Å)).
Neutral-atom scattering factors, no anomalous dispersion.

Main lines, in order of falling intensity (2θ = 10–90°):
2θ 22.90, intensity 1000
2θ 12.55, intensity 386
2θ 31.85, intensity 306
2θ 33.36, intensity 244
2θ 43.12, intensity 157
2θ 53.72, intensity 154
2θ 40.85, intensity 140
2θ 42.30, intensity 107
2θ 46.79, intensity 105
2θ 35.77, intensity 104
2θ 63.08, intensity 85
2θ 58.67, intensity 82

Cell and atoms:
```
CdS2O6F2
1.0
5.372 0.000 0.000
-2.686 4.652 0.000
0.000 0.000 7.051
Cd S O F
1 2 6 2
direct
0.000 0.000 0.000 Cd
0.333 0.667 0.765 S
0.667 0.333 0.235 S
0.088 0.701 0.813 O
0.299 0.388 0.813 O
0.388 0.088 0.187 O
0.612 0.912 0.813 O
0.701 0.612 0.187 O
0.912 0.299 0.187 O
0.333 0.667 0.540 F
0.667 0.333 0.460 F
```

***

No. 2
For Ce2Pa7, a crystal structure in Alexandria, relaxed with PBE gives the simulated X-ray diffraction stick pattern in this record (Cu Kα (λ = 1.5418 Å)).
Neutral-atom scattering factors, no anomalous dispersion.

Main lines, in order of falling intensity (2θ = 10–90°):
2θ 33.29, intensity 1000
2θ 38.63, intensity 506
2θ 66.53, intensity 422
2θ 55.78, intensity 355
2θ 69.90, intensity 122
2θ 82.83, intensity 59
2θ 10.95, intensity 27
2θ 21.07, intensity 9
2θ 17.95, intensity 8
2θ 31.34, intensity 7
2θ 46.36, intensity 5
2θ 38.06, intensity 5

Cell and atoms:
```
Ce2Pa7
1.0
5.708 0.000 0.000
-2.854 4.943 0.000
0.000 0.000 8.079
Ce Pa
2 7
direct
0.333 0.667 0.000 Ce
0.667 0.333 0.000 Ce
0.000 0.000 0.000 Pa
0.000 0.332 0.666 Pa
0.000 0.668 0.334 Pa
0.332 0.000 0.666 Pa
0.332 0.332 0.334 Pa
0.668 0.000 0.334 Pa
0.668 0.668 0.666 Pa
```

***

No. 3
For Rb2NF7, a crystal structure in Alexandria, relaxed with PBE gives the simulated X-ray diffraction stick pattern in this record (Cu Kα (λ = 1.5418 Å)).
Neutral-atom scattering factors, no anomalous dispersion.

Main lines, in order of falling intensity (2θ = 10–90°):
2θ 23.71, intensity 1000
2θ 21.18, intensity 780
2θ 24.86, intensity 619
2θ 25.38, intensity 521
2θ 31.73, intensity 499
2θ 38.52, intensity 391
2θ 37.61, intensity 390
2θ 12.49, intensity 381
2θ 32.60, intensity 374
2θ 30.41, intensity 353
2θ 12.77, intensity 350
2θ 38.04, intensity 332

Cell and atoms:
```
Rb2NF7
1.0
7.833 0.000 0.000
2.111 7.545 0.000
2.344 3.051 7.089
Rb N F
4 2 14
direct
0.076 0.362 0.329 Rb
0.395 0.693 0.605 Rb
0.605 0.307 0.395 Rb
0.924 0.638 0.671 Rb
0.277 0.980 0.930 N
0.723 0.020 0.070 N
0.120 0.961 0.427 F
0.148 0.546 0.945 F
0.152 0.014 0.819 F
0.258 0.160 0.935 F
0.260 0.465 0.510 F
0.391 0.506 0.994 F
0.446 0.976 0.796 F
0.554 0.024 0.204 F
0.609 0.494 0.006 F
0.740 0.535 0.490 F
0.742 0.840 0.065 F
0.848 0.986 0.181 F
0.852 0.454 0.055 F
0.880 0.039 0.573 F
```

***

No. 4
For Y2ErCu, a crystal structure in Alexandria, relaxed with PBE gives the simulated X-ray diffraction stick pattern in this record (Cu Kα (λ = 1.5418 Å)).
Neutral-atom scattering factors, no anomalous dispersion.

Main lines, in order of falling intensity (2θ = 10–90°):
2θ 30.96, intensity 1000
2θ 29.22, intensity 370
2θ 36.22, intensity 351
2θ 31.63, intensity 325
2θ 33.03, intensity 278
2θ 39.26, intensity 181
2θ 49.83, intensity 172
2θ 61.92, intensity 163
2θ 62.28, intensity 157
2θ 57.29, intensity 148
2θ 28.41, intensity 143
2θ 54.48, intensity 137

Cell and atoms:
```
Y2ErCu
1.0
2.480 -5.821 0.000
2.480 5.821 0.000
0.000 0.000 7.462
Y Er Cu
4 2 2
direct
0.148 0.852 0.529 Y
0.148 0.852 0.971 Y
0.852 0.148 0.029 Y
0.852 0.148 0.471 Y
0.457 0.543 0.750 Er
0.543 0.457 0.250 Er
0.304 0.696 0.250 Cu
0.696 0.304 0.750 Cu
```